Computed powder X-ray diffraction pattern
Compound: Tb4Tl3H
Radiation: CuKα
Structure: a PBE-relaxed structure
Peak positions follow from Bragg's law for the DFT cell and can differ from measured ones.

Cell and atoms:
```
data_Tb4Tl3H
_symmetry_space_group_name_H-M 'P 1 21/m 1'
_symmetry_Int_Tables_number 11
_cell_length_a 6.150
_cell_length_b 8.225
_cell_length_c 8.911
_cell_angle_alpha 90.00
_cell_angle_beta 91.10
_cell_angle_gamma 90.00
loop_
_symmetry_equiv_pos_as_xyz
'x,y,z'
'-x,-y,-z'
'-x,y+1/2,-z'
'x,-y+1/2,z'
loop_
_atom_site_label
_atom_site_fract_x
_atom_site_fract_y
_atom_site_fract_z
Tb1 0.110 0.250 0.315
Tb2 0.144 0.750 0.096
Tb3 0.378 0.522 0.771
Tl1 0.225 0.575 0.436
Tl2 0.342 0.250 0.011
H1 0.181 0.750 0.838
```

Peak list (10 most intense, 2θ from 10° to 90°, sorted by position)
- 2θ 23.8, d = 3.734 Å, I = 61
- 2θ 30.6, d = 2.924 Å, I = 54
- 2θ 33.2, d = 2.697 Å, I = 100
- 2θ 33.8, d = 2.654 Å, I = 27
- 2θ 35.0, d = 2.561 Å, I = 31
- 2θ 35.9, d = 2.505 Å, I = 50
- 2θ 37.4, d = 2.408 Å, I = 28
- 2θ 37.5, d = 2.399 Å, I = 29
- 2θ 38.6, d = 2.335 Å, I = 27
- 2θ 45.6, d = 1.989 Å, I = 31


Computed powder X-ray diffraction pattern
Compound: Mo2WS6
Radiation: CuKα
Structure: a PBE-relaxed structure
Peak positions follow from Bragg's law for the DFT cell and can differ from measured ones.

Cell and atoms:
```
data_Mo2WS6
_symmetry_space_group_name_H-M 'P 3 m 1'
_symmetry_Int_Tables_number 156
_cell_length_a 3.1896
_cell_length_b 3.1896
_cell_length_c 21.4705
_cell_angle_alpha 90.00
_cell_angle_beta 90.00
_cell_angle_gamma 120.00
loop_
_symmetry_equiv_pos_as_xyz
'x,y,z'
'-y,x-y,z'
'-x+y,-x,z'
'-y,-x,z'
'-x+y,y,z'
'x,x-y,z'
loop_
_atom_site_label
_atom_site_fract_x
_atom_site_fract_y
_atom_site_fract_z
Mo1 0.0000 0.0000 0.0000
Mo2 0.3333 0.6667 0.3287
W1 0.0000 0.0000 0.6538
S1 0.0000 0.0000 0.2558
S2 0.0000 0.0000 0.4016
S3 0.3333 0.6667 0.0729
S4 0.3333 0.6667 0.5806
S5 0.3333 0.6667 0.7271
S6 0.3333 0.6667 0.9271
```

Peak list (10 most intense, 2θ from 10° to 90°, sorted by position)
- 2θ 12.4, d = 7.157 Å, I = 100
- 2θ 32.4, d = 2.762 Å, I = 16
- 2θ 33.5, d = 2.675 Å, I = 9
- 2θ 34.8, d = 2.577 Å, I = 18
- 2θ 36.6, d = 2.456 Å, I = 11
- 2θ 38.8, d = 2.323 Å, I = 24
- 2θ 41.3, d = 2.187 Å, I = 9
- 2θ 47.2, d = 1.925 Å, I = 18
- 2θ 57.8, d = 1.595 Å, I = 14
- 2θ 59.4, d = 1.557 Å, I = 10


Computed powder X-ray diffraction pattern
Compound: BaLi2Np2O7
Radiation: CuKα
Structure: a PBE-relaxed structure
Peak positions follow from Bragg's law for the DFT cell and can differ from measured ones.

Cell and atoms:
```
data_BaLi2Np2O7
_symmetry_space_group_name_H-M 'C 1 2/m 1'
_symmetry_Int_Tables_number 12
_cell_length_a 19.091
_cell_length_b 4.318
_cell_length_c 4.317
_cell_angle_alpha 90.00
_cell_angle_beta 103.05
_cell_angle_gamma 90.00
loop_
_symmetry_equiv_pos_as_xyz
'x,y,z'
'-x,-y,-z'
'-x,y,-z'
'x,-y,z'
'x+1/2,y+1/2,z'
'-x+1/2,-y+1/2,-z'
'-x+1/2,y+1/2,-z'
'x+1/2,-y+1/2,z'
loop_
_atom_site_label
_atom_site_fract_x
_atom_site_fract_y
_atom_site_fract_z
Ba1 0.000 0.000 0.000
Li1 0.250 0.000 0.751
Np1 0.118 0.500 0.618
O1 0.000 0.500 0.500
O2 0.109 0.000 0.609
O3 0.109 0.500 0.109
O4 0.226 0.500 0.726
```

Peak list (10 most intense, 2θ from 10° to 90°, sorted by position)
- 2θ 19.1, d = 4.649 Å, I = 30
- 2θ 21.1, d = 4.206 Å, I = 48
- 2θ 25.1, d = 3.543 Å, I = 100
- 2θ 29.3, d = 3.053 Å, I = 65
- 2θ 31.8, d = 2.818 Å, I = 76
- 2θ 41.8, d = 2.159 Å, I = 40
- 2θ 49.3, d = 1.850 Å, I = 29
- 2θ 49.4, d = 1.844 Å, I = 33
- 2θ 53.5, d = 1.714 Å, I = 37
- 2θ 58.3, d = 1.582 Å, I = 24


Computed powder X-ray diffraction pattern
Compound: Tm3Ge
Radiation: CuKα
Structure: a PBE-relaxed structure
Peak positions follow from Bragg's law for the DFT cell and can differ from measured ones.

Cell and atoms:
```
data_Tm3Ge
_symmetry_space_group_name_H-M 'P -4 m 2'
_symmetry_Int_Tables_number 115
_cell_length_a 3.953
_cell_length_b 3.953
_cell_length_c 7.367
_cell_angle_alpha 90.00
_cell_angle_beta 90.00
_cell_angle_gamma 90.00
loop_
_symmetry_equiv_pos_as_xyz
'x,y,z'
'y,-x,-z'
'-x,-y,z'
'-y,x,-z'
'-x,y,z'
'-y,-x,-z'
'x,-y,z'
'y,x,-z'
loop_
_atom_site_label
_atom_site_fract_x
_atom_site_fract_y
_atom_site_fract_z
Tm1 0.000 0.000 0.000
Tm2 0.000 0.500 0.644
Ge1 0.500 0.500 0.000
```

Peak list (10 most intense, 2θ from 10° to 90°, sorted by position)
- 2θ 25.6, d = 3.483 Å, I = 82
- 2θ 33.2, d = 2.695 Å, I = 61
- 2θ 34.3, d = 2.614 Å, I = 100
- 2θ 36.6, d = 2.456 Å, I = 31
- 2θ 40.5, d = 2.227 Å, I = 32
- 2θ 45.9, d = 1.977 Å, I = 37
- 2θ 53.3, d = 1.719 Å, I = 22
- 2θ 57.9, d = 1.594 Å, I = 26
- 2θ 60.1, d = 1.539 Å, I = 58
- 2θ 77.4, d = 1.233 Å, I = 19


Computed powder X-ray diffraction pattern
Compound: TaTi6Zn5
Radiation: CuKα
Structure: a PBE-relaxed structure
Peak positions follow from Bragg's law for the DFT cell and can differ from measured ones.

Cell and atoms:
```
data_TaTi6Zn5
_symmetry_space_group_name_H-M 'I m m m'
_symmetry_Int_Tables_number 71
_symmetry_space_group_name_Hall '-I 2 2'
_cell_length_a 4.513
_cell_length_b 6.286
_cell_length_c 13.508
_cell_angle_alpha 90.00
_cell_angle_beta 90.00
_cell_angle_gamma 90.00
loop_
_atom_site_label
_atom_site_fract_x
_atom_site_fract_y
_atom_site_fract_z
Ta1 0.000 0.000 0.000
Ti1 0.000 0.248 0.500
Ti2 0.000 0.249 0.166
Zn1 0.000 0.000 0.332
Zn2 0.000 0.500 0.000
Zn3 0.000 0.500 0.337
```

Peak list (10 most intense, 2θ from 10° to 90°, sorted by position)
- 2θ 15.5, d = 5.699 Å, I = 9
- 2θ 28.0, d = 3.187 Å, I = 12
- 2θ 40.0, d = 2.254 Å, I = 51
- 2θ 40.3, d = 2.238 Å, I = 100
- 2θ 57.9, d = 1.594 Å, I = 16
- 2θ 58.8, d = 1.571 Å, I = 8
- 2θ 72.8, d = 1.299 Å, I = 16
- 2θ 72.9, d = 1.297 Å, I = 16
- 2θ 73.5, d = 1.289 Å, I = 15
- 2θ 87.1, d = 1.119 Å, I = 10


Computed powder X-ray diffraction pattern
Compound: RbSn2SbSe6
Radiation: CuKα
Structure: a PBE-relaxed structure
Peak positions follow from Bragg's law for the DFT cell and can differ from measured ones.

Cell and atoms:
```
data_RbSn2SbSe6
_symmetry_space_group_name_H-M 'C 1 2/c 1'
_symmetry_Int_Tables_number 15
_cell_length_a 15.659
_cell_length_b 12.082
_cell_length_c 7.822
_cell_angle_alpha 90.00
_cell_angle_beta 117.64
_cell_angle_gamma 90.00
loop_
_symmetry_equiv_pos_as_xyz
'x,y,z'
'-x,-y,-z'
'-x,y,-z+1/2'
'x,-y,z+1/2'
'x+1/2,y+1/2,z'
'-x+1/2,-y+1/2,-z'
'-x+1/2,y+1/2,-z+1/2'
'x+1/2,-y+1/2,z+1/2'
loop_
_atom_site_label
_atom_site_fract_x
_atom_site_fract_y
_atom_site_fract_z
Rb1 0.000 0.214 0.250
Sn1 0.232 0.096 0.070
Sb1 0.000 0.292 0.750
Se1 0.096 0.434 0.641
Se2 0.128 0.017 0.723
Se3 0.171 0.289 0.119
```

Peak list (10 most intense, 2θ from 10° to 90°, sorted by position)
- 2θ 13.5, d = 6.562 Å, I = 100
- 2θ 18.3, d = 4.849 Å, I = 29
- 2θ 19.5, d = 4.554 Å, I = 55
- 2θ 28.3, d = 3.158 Å, I = 60
- 2θ 28.7, d = 3.110 Å, I = 30
- 2θ 30.5, d = 2.928 Å, I = 90
- 2θ 32.5, d = 2.753 Å, I = 46
- 2θ 33.9, d = 2.647 Å, I = 59
- 2θ 41.8, d = 2.159 Å, I = 29
- 2θ 49.7, d = 1.835 Å, I = 32


Computed powder X-ray diffraction pattern
Compound: CePmSeS2
Radiation: CuKα
Structure: a PBE-relaxed structure
Peak positions follow from Bragg's law for the DFT cell and can differ from measured ones.

Cell and atoms:
```
data_CePmSeS2
_symmetry_space_group_name_H-M 'I 4 m m'
_symmetry_Int_Tables_number 107
_symmetry_space_group_name_Hall 'I 4 -2'
_cell_length_a 4.436
_cell_length_b 4.436
_cell_length_c 13.728
_cell_angle_alpha 90.00
_cell_angle_beta 90.00
_cell_angle_gamma 90.00
loop_
_atom_site_label
_atom_site_fract_x
_atom_site_fract_y
_atom_site_fract_z
Ce1 0.000 0.000 0.000
Pm1 0.000 0.000 0.730
Se1 0.000 0.000 0.366
S1 0.000 0.500 0.116
```

Peak list (10 most intense, 2θ from 10° to 90°, sorted by position)
- 2θ 21.0, d = 4.221 Å, I = 24
- 2θ 28.0, d = 3.185 Å, I = 100
- 2θ 28.5, d = 3.137 Å, I = 42
- 2θ 38.6, d = 2.335 Å, I = 19
- 2θ 38.9, d = 2.315 Å, I = 29
- 2θ 40.7, d = 2.218 Å, I = 34
- 2θ 49.3, d = 1.849 Å, I = 13
- 2θ 50.1, d = 1.820 Å, I = 40
- 2θ 57.3, d = 1.608 Å, I = 12
- 2θ 69.2, d = 1.357 Å, I = 12


Computed powder X-ray diffraction pattern
Compound: LaMg15
Radiation: CuKα
Structure: a PBE-relaxed structure
Peak positions follow from Bragg's law for the DFT cell and can differ from measured ones.

Cell and atoms:
```
data_LaMg15
_symmetry_space_group_name_H-M 'P -6 m 2'
_symmetry_Int_Tables_number 187
_symmetry_space_group_name_Hall 'P -6 2'
_cell_length_a 6.5886
_cell_length_b 6.5886
_cell_length_c 10.3813
_cell_angle_alpha 90.00
_cell_angle_beta 90.00
_cell_angle_gamma 120.00
loop_
_atom_site_label
_atom_site_fract_x
_atom_site_fract_y
_atom_site_fract_z
La1 0.0000 0.0000 0.0000
Mg1 0.0000 0.0000 0.5000
Mg2 0.0154 0.5077 0.0000
Mg3 0.1683 0.3365 0.2561
Mg4 0.5019 0.0038 0.5000
Mg5 0.6667 0.3333 0.2368
```

Peak list (10 most intense, 2θ from 10° to 90°, sorted by position)
- 2θ 15.5, d = 5.706 Å, I = 22
- 2θ 17.7, d = 5.000 Å, I = 32
- 2θ 23.2, d = 3.840 Å, I = 19
- 2θ 31.4, d = 2.853 Å, I = 27
- 2θ 34.6, d = 2.595 Å, I = 24
- 2θ 35.9, d = 2.500 Å, I = 100
- 2θ 47.4, d = 1.920 Å, I = 17
- 2θ 55.8, d = 1.647 Å, I = 18
- 2θ 62.8, d = 1.479 Å, I = 18
- 2θ 67.3, d = 1.391 Å, I = 19